This entry pairs a crystal structure of Ca2VGeO6 with its simulated X-ray powder pattern. Radiation: Cu Kα X-rays. Structure: a structure optimized by DFT (PBE+U).
Neutral-atom scattering factors, no anomalous dispersion.

Crystal structure
```
data_Ca2VGeO6
_chemical_formula_sum 'Ca2 V1 Ge1 O6'
_symmetry_space_group_name_H-M 'P 1'
_symmetry_Int_Tables_number 1
_cell_length_a 5.401
_cell_length_b 5.401
_cell_length_c 3.813
_cell_angle_alpha 90.00
_cell_angle_beta 90.00
_cell_angle_gamma 90.00
loop_
_symmetry_equiv_pos_as_xyz
'x,y,z'
loop_
_atom_site_label
_atom_site_fract_x
_atom_site_fract_y
_atom_site_fract_z
Ca1 0.000 0.500 0.000
Ca2 0.500 0.000 0.000
V1 0.000 0.000 0.500
Ge1 0.500 0.500 0.500
O1 0.000 0.000 0.000
O2 0.254 0.254 0.500
O3 0.254 0.746 0.500
O4 0.500 0.500 0.000
O5 0.746 0.254 0.500
O6 0.746 0.746 0.500
```

Peak list (6 most intense, 2θ = 15–90°, in order of rising 2θ)
23.3°, 3.817 Å, intensity 23
33.2°, 2.699 Å, intensity 100
47.7°, 1.908 Å, intensity 50
59.3°, 1.558 Å, intensity 36
69.7°, 1.349 Å, intensity 27
79.3°, 1.208 Å, intensity 10